For EuDyCuS3, a crystal structure in the Materials Project, relaxed with GGA-PBE gives the simulated powder XRD pattern in this record (Cu Kα (λ = 1.5418 Å)).

Peak list (10 most intense, 2θ = 10–80°, by angle)
| two_theta | Rel. int. | h k l |
| --- | --- | --- |
| 22.2 | 100 | 2 0 2 |
| 27.9 | 53 | 0 0 4 |
| 29.6 | 69 | 2 1 1 |
| 32.3 | 93 | 1 1 3 |
| 35.1 | 46 | 4 0 0 |
| 35.7 | 33 | 3 1 1 |
| 35.8 | 86 | 2 1 3 |
| 45.4 | 36 | 4 0 4 |
| 46.0 | 38 | 2 1 5 |
| 46.5 | 37 | 0 2 0 |

Structure:
```
EuDyCuS3
1.0
10.228 0.000 0.000
0.000 3.904 0.000
0.000 0.000 12.803
Eu Dy Cu S
4 4 4 12
direct
0.227 0.250 0.000
0.273 0.750 0.500
0.727 0.250 0.500
0.773 0.750 0.000
0.014 0.750 0.257
0.486 0.250 0.757
0.514 0.750 0.243
0.986 0.250 0.743
0.237 0.750 0.777
0.263 0.250 0.277
0.737 0.750 0.723
0.763 0.250 0.223
0.054 0.750 0.885
0.089 0.250 0.393
0.239 0.250 0.671
0.261 0.750 0.171
0.411 0.750 0.893
0.446 0.250 0.385
0.554 0.750 0.615
0.589 0.250 0.107
0.739 0.250 0.829
0.761 0.750 0.329
0.911 0.750 0.607
0.946 0.250 0.115
```


For CuH2CN2Cl, a crystal structure in the Materials Project, relaxed with GGA-PBE gives the simulated powder XRD pattern in this record (Cu Kα (λ = 1.5418 Å)).

Peak list (10 most intense, 2θ = 10–80°, by angle)
| two_theta | Rel. int. | h k l |
| --- | --- | --- |
| 10.7 | 100 | 1 0 1 |
| 16.8 | 59 | 2 0 0 |
| 26.2 | 16 | 3 0 1 |
| 26.6 | 19 | 0 0 4 |
| 26.9 | 26 | 1 1 2 |
| 31.6 | 13 | 2 0 4 |
| 34.5 | 14 | 1 0 5 |
| 36.3 | 8 | 3 1 2 |
| 44.3 | 8 | 0 2 0 |
| 45.7 | 14 | 4 1 3 |

Structure:
```
CuH2CN2Cl
1.0
10.540 0.000 0.000
0.000 4.089 0.000
0.000 0.000 13.423
Cu H C N Cl
4 8 4 8 4
direct
0.000 0.250 0.092
0.000 0.750 0.908
0.500 0.250 0.408
0.500 0.750 0.592
0.147 0.250 0.738
0.189 0.250 0.609
0.311 0.750 0.109
0.353 0.750 0.238
0.647 0.250 0.762
0.689 0.250 0.891
0.811 0.750 0.391
0.853 0.750 0.262
0.106 0.750 0.379
0.394 0.250 0.879
0.606 0.750 0.121
0.894 0.250 0.621
0.003 0.250 0.640
0.124 0.250 0.664
0.376 0.750 0.164
0.497 0.750 0.140
0.503 0.250 0.860
0.624 0.250 0.836
0.876 0.750 0.336
0.997 0.750 0.360
0.068 0.250 0.901
0.432 0.750 0.401
0.568 0.250 0.599
0.932 0.750 0.099
```


For DyGaPt, a crystal structure in the Materials Project, relaxed with GGA-PBE gives the simulated powder XRD pattern in this record (Cu Kα (λ = 1.5418 Å)).

Peak list (10 most intense, 2θ = 10–80°, by angle)
| two_theta | Rel. int. | h k l |
| --- | --- | --- |
| 26.5 | 35 | 1 0 2 |
| 33.4 | 29 | 1 1 2 |
| 35.0 | 100 | 2 1 1 |
| 40.6 | 72 | 0 2 0 |
| 41.1 | 13 | 3 0 1 |
| 46.1 | 13 | 3 0 2 |
| 54.6 | 12 | 2 2 2 |
| 66.9 | 12 | 3 1 4 |
| 69.0 | 11 | 4 2 0 |
| 76.6 | 13 | 5 1 2 |

Structure:
```
DyGaPt
1.0
6.880 0.000 0.000
0.000 4.455 0.000
0.000 0.000 7.693
Dy Ga Pt
4 4 4
direct
0.015 0.250 0.197
0.485 0.750 0.697
0.515 0.250 0.303
0.985 0.750 0.803
0.175 0.250 0.572
0.325 0.750 0.072
0.675 0.250 0.928
0.825 0.750 0.428
0.221 0.750 0.398
0.279 0.250 0.898
0.721 0.750 0.102
0.779 0.250 0.602
```


What is the formula in the third record?
DyGaPt